This entry pairs a crystal structure of Nb4Pd3Se12 with its calculated powder diffractogram. Radiation: CuKα. Structure: a structure optimized by DFT (PBE).
Kinematic intensities with the Lorentz-polarization factor, no thermal factor.

Structural model:
```
Nb4Pd3Se12
1.0
6.789 -1.755 0.000
6.789 1.755 0.000
-6.662 0.000 18.383
Nb Pd Se
4 3 12
direct
0.126 0.126 0.148 Nb
0.246 0.246 0.407 Nb
0.754 0.754 0.593 Nb
0.874 0.874 0.852 Nb
0.266 0.266 0.719 Pd
0.500 0.500 0.000 Pd
0.734 0.734 0.281 Pd
0.095 0.095 0.280 Se
0.116 0.116 0.598 Se
0.312 0.312 0.928 Se
0.319 0.319 0.227 Se
0.366 0.366 0.551 Se
0.473 0.473 0.118 Se
0.527 0.527 0.882 Se
0.634 0.634 0.449 Se
0.681 0.681 0.773 Se
0.688 0.688 0.072 Se
0.884 0.884 0.402 Se
0.905 0.905 0.720 Se
```

Top 10 peaks for 5 to 70 degrees two-theta, sorted by position:
| Position (°2θ) | I (rel.) |
| --- | --- |
| 13.04 | 100 |
| 13.91 | 82 |
| 31.38 | 27 |
| 34.60 | 88 |
| 35.88 | 24 |
| 36.59 | 52 |
| 39.35 | 46 |
| 43.85 | 33 |
| 52.13 | 32 |
| 54.55 | 22 |

=====

This entry pairs a crystal structure of Nb2Si3Pd2 with its calculated powder diffractogram. Radiation: CuKα. Structure: a structure optimized by DFT (PBE).
Kinematic intensities with the Lorentz-polarization factor, no thermal factor.

Structural model:
```
Nb2Si3Pd2
1.0
2.046 1.181 7.816
-2.046 1.181 7.816
0.000 -2.362 7.816
Nb Si Pd
2 3 2
direct
0.000 0.000 0.000 Nb
0.496 0.496 0.496 Nb
0.389 0.389 0.389 Si
0.614 0.614 0.614 Si
0.864 0.864 0.864 Si
0.248 0.248 0.248 Pd
0.749 0.749 0.749 Pd
```

Top 10 peaks for 5 to 70 degrees two-theta, sorted by position:
| Position (°2θ) | I (rel.) |
| --- | --- |
| 29.46 | 100 |
| 31.65 | 3 |
| 39.92 | 94 |
| 44.28 | 74 |
| 46.47 | 11 |
| 54.08 | 18 |
| 57.30 | 2 |
| 61.12 | 26 |
| 66.13 | 22 |
| 69.39 | 15 |

=====

This entry pairs a crystal structure of YNbSn2Pd2 with its calculated powder diffractogram. Radiation: CuKα. Structure: a structure optimized by DFT (PBE).
Kinematic intensities with the Lorentz-polarization factor, no thermal factor.

Structural model:
```
YNbSn2Pd2
1.0
4.504 0.000 0.000
0.000 9.052 0.000
0.000 0.000 6.428
Y Nb Sn Pd
2 2 4 4
direct
0.000 0.122 0.000 Y
0.500 0.878 0.500 Y
0.000 0.625 0.998 Nb
0.500 0.375 0.498 Nb
0.000 0.133 0.507 Sn
0.000 0.620 0.487 Sn
0.500 0.380 0.987 Sn
0.500 0.867 0.007 Sn
0.000 0.388 0.740 Pd
0.000 0.858 0.761 Pd
0.500 0.142 0.261 Pd
0.500 0.612 0.240 Pd
```

Top 10 peaks for 5 to 70 degrees two-theta, sorted by position:
| Position (°2θ) | I (rel.) |
| --- | --- |
| 24.09 | 37 |
| 27.75 | 6 |
| 27.95 | 12 |
| 39.80 | 100 |
| 40.04 | 20 |
| 46.94 | 6 |
| 47.11 | 5 |
| 47.25 | 6 |
| 57.33 | 7 |
| 57.76 | 13 |

=====

This entry pairs a crystal structure of Rb2Nb2Pt3 with its calculated powder diffractogram. Radiation: CuKα. Structure: a structure optimized by DFT (PBE).
Kinematic intensities with the Lorentz-polarization factor, no thermal factor.

Structural model:
```
Rb2Nb2Pt3
1.0
2.271 1.311 10.758
-2.271 1.311 10.758
0.000 -2.622 10.758
Rb Nb Pt
2 2 3
direct
0.000 0.000 0.000 Rb
0.414 0.414 0.414 Rb
0.183 0.183 0.183 Nb
0.586 0.586 0.586 Nb
0.265 0.265 0.265 Pt
0.507 0.507 0.507 Pt
0.886 0.886 0.886 Pt
```

Top 10 peaks for 5 to 70 degrees two-theta, sorted by position:
| Position (°2θ) | I (rel.) |
| --- | --- |
| 8.22 | 100 |
| 23.27 | 5 |
| 31.77 | 16 |
| 35.99 | 12 |
| 38.27 | 5 |
| 39.69 | 30 |
| 40.60 | 14 |
| 43.08 | 11 |
| 50.87 | 5 |
| 52.75 | 7 |

=====

This entry pairs a crystal structure of Nb3Sb5Pt5 with its calculated powder diffractogram. Radiation: CuKα. Structure: a structure optimized by DFT (PBE).
Kinematic intensities with the Lorentz-polarization factor, no thermal factor.

Structural model:
```
Nb3Sb5Pt5
1.0
6.908 -3.155 0.000
6.908 3.155 0.000
-6.882 0.000 6.917
Nb Sb Pt
3 5 5
direct
0.000 0.000 0.000 Nb
0.203 0.196 0.801 Nb
0.804 0.797 0.199 Nb
0.126 0.104 0.406 Sb
0.330 0.321 0.229 Sb
0.493 0.507 0.000 Sb
0.679 0.670 0.771 Sb
0.896 0.874 0.594 Sb
0.124 0.653 0.082 Pt
0.347 0.876 0.918 Pt
0.559 0.048 0.721 Pt
0.791 0.209 0.500 Pt
0.952 0.441 0.279 Pt
```

Top 10 peaks for 5 to 70 degrees two-theta, sorted by position:
| Position (°2θ) | I (rel.) |
| --- | --- |
| 24.77 | 100 |
| 40.87 | 88 |
| 41.23 | 20 |
| 41.37 | 21 |
| 47.99 | 17 |
| 48.73 | 22 |
| 48.85 | 7 |
| 58.50 | 7 |
| 59.77 | 6 |
| 59.91 | 6 |

=====

This entry pairs a crystal structure of Nb2PtSe7 with its calculated powder diffractogram. Radiation: CuKα. Structure: a structure optimized by DFT (PBE).
Kinematic intensities with the Lorentz-polarization factor, no thermal factor.

Structural model:
```
Nb2PtSe7
1.0
7.282 -1.777 0.000
7.282 1.777 0.000
-6.076 0.000 17.907
Nb Pt Se
4 2 14
direct
0.152 0.152 0.399 Nb
0.231 0.231 0.092 Nb
0.769 0.769 0.908 Nb
0.848 0.848 0.601 Nb
0.310 0.310 0.791 Pt
0.690 0.690 0.209 Pt
0.079 0.079 0.129 Se
0.153 0.153 0.828 Se
0.204 0.204 0.554 Se
0.263 0.263 0.305 Se
0.357 0.357 0.012 Se
0.430 0.430 0.706 Se
0.472 0.472 0.580 Se
0.528 0.528 0.420 Se
0.570 0.570 0.294 Se
0.643 0.643 0.988 Se
0.737 0.737 0.695 Se
0.796 0.796 0.446 Se
0.847 0.847 0.172 Se
0.921 0.921 0.871 Se
```

Top 10 peaks for 5 to 70 degrees two-theta, sorted by position:
| Position (°2θ) | I (rel.) |
| --- | --- |
| 12.18 | 25 |
| 12.84 | 100 |
| 15.18 | 73 |
| 31.02 | 47 |
| 32.78 | 51 |
| 34.11 | 87 |
| 39.18 | 29 |
| 40.03 | 47 |
| 41.14 | 54 |
| 51.43 | 32 |

=====

This entry pairs a crystal structure of Ta3Nb3Pt2 with its calculated powder diffractogram. Radiation: CuKα. Structure: a structure optimized by DFT (PBE).
Kinematic intensities with the Lorentz-polarization factor, no thermal factor.

Structural model:
```
Ta3Nb3Pt2
1.0
5.159 0.000 0.000
0.000 5.211 0.000
0.000 0.000 5.186
Ta Nb Pt
3 3 2
direct
0.000 0.000 0.000 Ta
0.500 0.249 0.751 Ta
0.500 0.751 0.751 Ta
0.000 0.000 0.503 Nb
0.251 0.500 0.252 Nb
0.749 0.500 0.252 Nb
0.000 0.500 0.754 Pt
0.500 0.000 0.249 Pt
```

Top 10 peaks for 5 to 70 degrees two-theta, sorted by position:
| Position (°2θ) | I (rel.) |
| --- | --- |
| 34.59 | 34 |
| 34.78 | 53 |
| 38.70 | 82 |
| 38.84 | 71 |
| 38.98 | 60 |
| 42.60 | 100 |
| 42.71 | 77 |
| 42.83 | 58 |
| 67.41 | 35 |
| 67.72 | 41 |

=====

This entry pairs a crystal structure of TaNb2Pt with its calculated powder diffractogram. Radiation: CuKα. Structure: a structure optimized by DFT (PBE).
Kinematic intensities with the Lorentz-polarization factor, no thermal factor.

Structural model:
```
TaNb2Pt
1.0
5.174 0.000 0.000
0.000 5.174 0.000
0.000 0.000 5.223
Ta Nb Pt
2 4 2
direct
0.000 0.000 0.250 Ta
0.000 0.000 0.750 Ta
0.249 0.500 0.000 Nb
0.500 0.249 0.500 Nb
0.500 0.751 0.500 Nb
0.751 0.500 0.000 Nb
0.000 0.500 0.500 Pt
0.500 0.000 0.000 Pt
```

Top 10 peaks for 5 to 70 degrees two-theta, sorted by position:
| Position (°2θ) | I (rel.) |
| --- | --- |
| 17.14 | 20 |
| 24.21 | 23 |
| 34.67 | 74 |
| 38.62 | 60 |
| 38.90 | 89 |
| 42.53 | 86 |
| 42.74 | 100 |
| 67.31 | 26 |
| 67.56 | 43 |
| 67.71 | 26 |

=====

This entry pairs a crystal structure of NbZnPt with its calculated powder diffractogram. Radiation: CuKα. Structure: a structure optimized by DFT (PBE).
Kinematic intensities with the Lorentz-polarization factor, no thermal factor.

Structural model:
```
NbZnPt
1.0
-2.228 2.667 3.945
2.228 -2.667 3.945
2.228 2.667 -3.945
Nb Zn Pt
2 2 2
direct
0.248 0.000 0.248 Nb
0.752 0.000 0.752 Nb
0.337 0.337 0.000 Zn
0.663 0.663 0.000 Zn
0.172 0.672 0.500 Pt
0.828 0.328 0.500 Pt
```

Top 10 peaks for 5 to 70 degrees two-theta, sorted by position:
| Position (°2θ) | I (rel.) |
| --- | --- |
| 20.09 | 13 |
| 26.06 | 33 |
| 33.60 | 17 |
| 34.72 | 12 |
| 39.80 | 100 |
| 40.49 | 48 |
| 40.84 | 40 |
| 41.07 | 71 |
| 53.05 | 19 |
| 58.87 | 27 |

=====

This entry pairs a crystal structure of RbNb with its calculated powder diffractogram. Radiation: CuKα. Structure: a structure optimized by DFT (PBE).
Kinematic intensities with the Lorentz-polarization factor, no thermal factor.

Structural model:
```
RbNb
1.0
6.640 0.000 0.000
-3.320 5.750 0.000
0.000 0.000 4.721
Rb Nb
2 2
direct
0.333 0.667 0.250 Rb
0.667 0.333 0.750 Rb
0.000 0.000 0.000 Nb
0.000 0.000 0.500 Nb
```

Top 10 peaks for 5 to 70 degrees two-theta, sorted by position:
| Position (°2θ) | I (rel.) |
| --- | --- |
| 15.41 | 32 |
| 24.40 | 43 |
| 26.86 | 100 |
| 36.60 | 15 |
| 41.35 | 36 |
| 45.97 | 15 |
| 47.43 | 20 |
| 49.99 | 20 |
| 55.35 | 13 |
| 57.66 | 26 |

=====

This entry pairs a crystal structure of RbNb3S5 with its calculated powder diffractogram. Radiation: CuKα. Structure: a structure optimized by DFT (PBE).
Kinematic intensities with the Lorentz-polarization factor, no thermal factor.

Structural model:
```
RbNb3S5
1.0
5.722 0.000 0.000
-2.861 4.956 0.000
0.000 0.000 7.483
Rb Nb S
1 3 5
direct
0.000 0.000 0.000 Rb
0.000 0.500 0.500 Nb
0.500 0.000 0.500 Nb
0.500 0.500 0.500 Nb
0.000 0.000 0.500 S
0.333 0.667 0.247 S
0.333 0.667 0.753 S
0.667 0.333 0.247 S
0.667 0.333 0.753 S
```

Top 10 peaks for 5 to 70 degrees two-theta, sorted by position:
| Position (°2θ) | I (rel.) |
| --- | --- |
| 11.83 | 100 |
| 21.51 | 58 |
| 23.78 | 26 |
| 33.53 | 20 |
| 36.25 | 41 |
| 38.26 | 33 |
| 43.82 | 89 |
| 48.67 | 14 |
| 62.18 | 16 |
| 65.22 | 17 |

=====

This entry pairs a crystal structure of Rb3NbTeSe3 with its calculated powder diffractogram. Radiation: CuKα. Structure: a structure optimized by DFT (PBE).
Kinematic intensities with the Lorentz-polarization factor, no thermal factor.

Structural model:
```
Rb3NbTeSe3
1.0
5.760 3.326 2.670
-5.760 3.326 2.670
0.000 -6.651 2.670
Rb Nb Te Se
3 1 1 3
direct
0.033 0.484 0.484 Rb
0.484 0.033 0.484 Rb
0.484 0.484 0.033 Rb
0.958 0.958 0.958 Nb
0.622 0.622 0.622 Te
0.289 0.947 0.947 Se
0.947 0.289 0.947 Se
0.947 0.947 0.289 Se
```

Top 10 peaks for 5 to 70 degrees two-theta, sorted by position:
| Position (°2θ) | I (rel.) |
| --- | --- |
| 15.38 | 29 |
| 26.12 | 100 |
| 28.58 | 55 |
| 31.05 | 60 |
| 32.61 | 22 |
| 33.56 | 20 |
| 43.46 | 24 |
| 46.37 | 31 |
| 46.93 | 18 |
| 53.73 | 18 |

=====

This entry pairs a crystal structure of Rb2NbTlSe4 with its calculated powder diffractogram. Radiation: CuKα. Structure: a structure optimized by DFT (PBE).
Kinematic intensities with the Lorentz-polarization factor, no thermal factor.

Structural model:
```
Rb2NbTlSe4
1.0
-4.184 4.184 3.966
4.184 -4.184 3.966
4.184 4.184 -3.966
Rb Nb Tl Se
2 1 1 4
direct
0.000 0.500 0.500 Rb
0.500 0.000 0.500 Rb
0.000 0.000 0.000 Nb
0.500 0.500 0.000 Tl
0.023 0.349 0.000 Se
0.349 0.023 0.000 Se
0.651 0.651 0.674 Se
0.977 0.977 0.326 Se
```

Top 10 peaks for 5 to 70 degrees two-theta, sorted by position:
| Position (°2θ) | I (rel.) |
| --- | --- |
| 14.97 | 38 |
| 21.24 | 41 |
| 26.33 | 63 |
| 30.21 | 48 |
| 31.07 | 100 |
| 37.94 | 37 |
| 48.66 | 27 |
| 49.25 | 30 |
| 50.97 | 17 |
| 54.20 | 25 |

=====

This entry pairs a crystal structure of RbZrNbSe3 with its calculated powder diffractogram. Radiation: CuKα. Structure: a structure optimized by DFT (PBE).
Kinematic intensities with the Lorentz-polarization factor, no thermal factor.

Structural model:
```
RbZrNbSe3
1.0
9.041 0.000 0.000
0.000 3.820 0.000
-4.310 0.000 9.327
Rb Zr Nb Se
2 2 2 6
direct
0.030 0.250 0.267 Rb
0.970 0.750 0.733 Rb
0.478 0.250 0.144 Zr
0.522 0.750 0.856 Zr
0.479 0.750 0.395 Nb
0.521 0.250 0.605 Nb
0.252 0.750 0.139 Se
0.300 0.750 0.549 Se
0.308 0.250 0.858 Se
0.692 0.750 0.142 Se
0.700 0.250 0.451 Se
0.748 0.250 0.861 Se
```

Top 10 peaks for 5 to 70 degrees two-theta, sorted by position:
| Position (°2θ) | I (rel.) |
| --- | --- |
| 10.78 | 100 |
| 29.05 | 23 |
| 30.65 | 60 |
| 32.29 | 54 |
| 34.89 | 35 |
| 35.33 | 25 |
| 38.45 | 25 |
| 42.17 | 37 |
| 47.61 | 26 |
| 52.15 | 19 |